Diffraction record for YFe2Ge3. The powder X-ray diffraction pattern is theoretical, not measured: it uses a crystal structure in Alexandria, relaxed with GGA-PBE and Cu Kα, 1.54184 Å.
Kinematic intensities with the Lorentz-polarization factor, no thermal factor.

Peak list (6 most intense, 2θ from 15° to 90°, sorted by position)
d 2.578, 34.80°, intensity 677; d 2.549, 35.20°, intensity 1000; d 2.418, 37.19°, intensity 538; d 2.347, 38.36°, intensity 455; d 2.196, 41.11°, intensity 351; d 1.989, 45.60°, intensity 677

Structural model:
Cell: 6.0119 6.0119 5.4144 Å, 90.00 90.00 77.25°
Fractional coordinates of all 12 atoms:
Y: 0.1496 0.8504 0.7500
Y: 0.8504 0.1496 0.2500
Fe: 0.2945 0.2945 0.0000
Fe: 0.2945 0.2945 0.5000
Fe: 0.7055 0.7055 0.0000
Fe: 0.7055 0.7055 0.5000
Ge: 0.0323 0.6120 0.2500
Ge: 0.3880 0.9677 0.2500
Ge: 0.4661 0.5339 0.2500
Ge: 0.5339 0.4661 0.7500
Ge: 0.6120 0.0323 0.7500
Ge: 0.9677 0.3880 0.7500